Computed X-ray powder pattern
Compound: Ba2VP2O9
Radiation: Cu Ka
Structure: a crystal structure in Alexandria, relaxed with GGA+U
Lines closer than 0.1° are merged.

Principal peaks in the range 10° ≤ 2θ ≤ 90°, sorted by position:
2θ (°)  Rel. int.
21.16  27.6
22.54  78.8
24.53  100.0
27.32  25.3
31.68  32.1
31.97  36.4
32.21  31.0
33.53  27.9
37.56  36.2
41.84  26.5

Cell and atoms:
Cell: 9.3477 9.3477 9.6061 Å, 108.87 108.87 34.59°
Element x y z (fractional)
1 Ba 0.1464 0.1805 0.3284
2 Ba 0.1805 0.1464 0.8284
3 Ba 0.8195 0.8536 0.1716
4 Ba 0.8536 0.8195 0.6716
5 V 0.4354 0.5646 0.2500
6 V 0.5646 0.4354 0.7500
7 P 0.3398 0.3988 0.4264
8 P 0.3988 0.3398 0.9264
9 P 0.6012 0.6602 0.0736
10 P 0.6602 0.6012 0.5736
11 O 0.0680 0.5518 0.3985
12 O 0.1203 0.5388 0.9414
13 O 0.1344 0.8656 0.2500
14 O 0.3475 0.5384 0.5647
15 O 0.3876 0.4066 0.2877
16 O 0.4066 0.3876 0.7877
17 O 0.4482 0.9320 0.1015
18 O 0.4612 0.8797 0.5586
19 O 0.4616 0.6525 0.9353
20 O 0.5384 0.3475 0.0647
21 O 0.5388 0.1203 0.4414
22 O 0.5518 0.0680 0.8985
23 O 0.5934 0.6124 0.2123
24 O 0.6124 0.5934 0.7123
25 O 0.6525 0.4616 0.4353
26 O 0.8656 0.1344 0.7500
27 O 0.8797 0.4612 0.0586
28 O 0.9320 0.4482 0.6015